# 1
Simulated PXRD pattern of Mg3UTl2F12 for Cu Ka, from DFT lattice parameters and positions (GGA-PBE).
Intensities are scaled so that the largest is 100.

Principal peaks in the range 2θ from 10° to 80°, by angle:
2θ = 17.34°, rel. 52, (0 1 2)
2θ = 23.58°, rel. 100, (1 1 0)
2θ = 28.73°, rel. 72, (1 1 3)
2θ = 30.45°, rel. 61, (0 1 5)
2θ = 38.03°, rel. 24, (1 2 2)
2θ = 38.86°, rel. 46, (2 0 5)
2θ = 44.77°, rel. 27, (0 3 3)
2θ = 45.96°, rel. 38, (1 2 5)
2θ = 48.23°, rel. 35, (2 2 0)
2θ = 58.11°, rel. 25, (3 1 5)

Crystal structure
```
data_Mg3UTl2F12
_symmetry_space_group_name_H-M 'R -3 m'
_symmetry_Int_Tables_number 166
_symmetry_space_group_name_Hall '-R 3 2"'
_cell_length_a 7.5475
_cell_length_b 7.5475
_cell_length_c 16.4312
_cell_angle_alpha 90.00
_cell_angle_beta 90.00
_cell_angle_gamma 120.00
loop_
_atom_site_label
_atom_site_type_symbol
_atom_site_fract_x
_atom_site_fract_y
_atom_site_fract_z
_atom_site_occupancy
Mg1 Mg 0.0000 0.5000 0.0000 1
U1 U 0.0000 0.0000 0.5000 1
Tl1 Tl 0.0000 0.0000 0.1084 1
F1 F 0.0034 0.5017 0.8765 1
F2 F 0.0940 0.5470 0.3130 1
```

---

# 2
Simulated PXRD pattern of CsRbHCl for Cu Ka, from DFT lattice parameters and positions (GGA-PBE).
Intensities are scaled so that the largest is 100.

Principal peaks in the range 2θ from 10° to 80°, by angle:
2θ = 23.22°, rel. 23, (0 0 6)
2θ = 23.44°, rel. 70, (0 1 2)
2θ = 27.07°, rel. 100, (1 0 4)
2θ = 38.51°, rel. 34, (0 1 8)
2θ = 38.79°, rel. 38, (1 1 0)
2θ = 45.70°, rel. 23, (1 1 6)
2θ = 45.82°, rel. 12, (2 0 2)
2θ = 47.94°, rel. 20, (0 2 4)
2θ = 62.91°, rel. 13, (1 1 12)
2θ = 63.29°, rel. 17, (2 1 4)

Crystal structure
```
data_CsRbHCl
_symmetry_space_group_name_H-M 'R 3 m'
_symmetry_Int_Tables_number 160
_symmetry_space_group_name_Hall 'R 3 -2"'
_cell_length_a 4.6434
_cell_length_b 4.6434
_cell_length_c 22.9808
_cell_angle_alpha 90.00
_cell_angle_beta 90.00
_cell_angle_gamma 120.00
loop_
_atom_site_label
_atom_site_type_symbol
_atom_site_fract_x
_atom_site_fract_y
_atom_site_fract_z
_atom_site_occupancy
Cs1 Cs 0.0000 0.0000 0.0000 1
Rb1 Rb 0.0000 0.0000 0.5140 1
H1 H 0.0000 0.0000 0.2535 1
Cl1 Cl 0.0000 0.0000 0.7623 1
```

---

# 3
Simulated PXRD pattern of Pm5Pr4Mg for Cu Ka, from DFT lattice parameters and positions (GGA-PBE).
Intensities are scaled so that the largest is 100.

Principal peaks in the range 2θ from 10° to 80°, by angle:
2θ = 28.86°, rel. 100, (3 0 1)
2θ = 29.82°, rel. 18, (0 0 2)
2θ = 33.35°, rel. 9, (3 2 1)
2θ = 34.20°, rel. 11, (2 0 2)
2θ = 35.13°, rel. 34, (3 3 0)
2θ = 44.45°, rel. 9, (5 0 1)
2θ = 46.73°, rel. 17, (3 3 2)
2θ = 50.53°, rel. 10, (6 0 0)
2θ = 52.34°, rel. 14, (3 0 3)
2θ = 59.24°, rel. 19, (6 3 1)

Crystal structure
```
data_Pm5Pr4Mg
_symmetry_space_group_name_H-M 'I 4 m m'
_symmetry_Int_Tables_number 107
_symmetry_space_group_name_Hall 'I 4 -2'
_cell_length_a 10.837
_cell_length_b 10.837
_cell_length_c 5.992
_cell_angle_alpha 90.00
_cell_angle_beta 90.00
_cell_angle_gamma 90.00
loop_
_atom_site_label
_atom_site_type_symbol
_atom_site_fract_x
_atom_site_fract_y
_atom_site_fract_z
_atom_site_occupancy
Pm1 Pm 0.000 0.000 0.000 1
Pm2 Pm 0.185 0.185 0.292 1
Pr1 Pr 0.000 0.317 0.805 1
Mg1 Mg 0.000 0.000 0.524 1
```

---

# 4
Simulated PXRD pattern of TlHg3Sb2Br3 for Cu Ka, from DFT lattice parameters and positions (GGA-PBE).
Intensities are scaled so that the largest is 100.

Principal peaks in the range 2θ from 10° to 80°, by angle:
2θ = 22.83°, rel. 46, (1 2 2)
2θ = 26.43°, rel. 100, (0 0 4)
2θ = 27.26°, rel. 17, (2 1 0)
2θ = 37.72°, rel. 65, (0 4 4)
2θ = 42.93°, rel. 15, (2 5 0)
2θ = 44.55°, rel. 54, (3 2 2)
2θ = 46.65°, rel. 20, (2 4 4)
2θ = 59.76°, rel. 16, (3 6 2)
2θ = 61.45°, rel. 15, (0 4 8)
2θ = 68.10°, rel. 13, (2 4 8)

Crystal structure
```
data_TlHg3Sb2Br3
_symmetry_space_group_name_H-M 'P b c m'
_symmetry_Int_Tables_number 57
_cell_length_a 6.753
_cell_length_b 13.472
_cell_length_c 13.494
_cell_angle_alpha 90.00
_cell_angle_beta 90.00
_cell_angle_gamma 90.00
loop_
_symmetry_equiv_pos_as_xyz
'x,y,z'
'-x,-y,-z'
'-x,-y,z+1/2'
'x,y,-z+1/2'
'x,-y+1/2,-z'
'-x,y+1/2,z'
'-x,y+1/2,-z+1/2'
'x,-y+1/2,z+1/2'
loop_
_atom_site_label
_atom_site_type_symbol
_atom_site_fract_x
_atom_site_fract_y
_atom_site_fract_z
_atom_site_occupancy
Tl1 Tl 0.027 0.237 0.250 1
Hg1 Hg 0.000 0.000 0.000 1
Hg2 Hg 0.459 0.750 0.000 1
Hg3 Hg 0.472 0.513 0.750 1
Sb1 Sb 0.372 0.559 0.557 1
Br1 Br 0.097 0.019 0.750 1
Br2 Br 0.105 0.250 0.000 1
Br3 Br 0.499 0.203 0.250 1
```

---

# 5
Simulated PXRD pattern of Er3Th5 for Cu Ka, from DFT lattice parameters and positions (GGA-PBE).
Intensities are scaled so that the largest is 100.

Principal peaks in the range 2θ from 10° to 80°, by angle:
2θ = 30.81°, rel. 100, (1 1 2)
2θ = 35.56°, rel. 17, (0 2 0)
2θ = 35.74°, rel. 17, (2 0 0)
2θ = 35.88°, rel. 17, (0 0 4)
2θ = 51.30°, rel. 12, (2 2 0)
2θ = 51.41°, rel. 12, (0 2 4)
2θ = 60.93°, rel. 15, (1 3 2)
2θ = 61.17°, rel. 15, (3 1 2)
2θ = 61.36°, rel. 15, (1 1 6)
2θ = 64.19°, rel. 13, (2 2 4)

Crystal structure
```
data_Er3Th5
_symmetry_space_group_name_H-M 'P m m m'
_symmetry_Int_Tables_number 47
_cell_length_a 5.025
_cell_length_b 5.049
_cell_length_c 10.010
_cell_angle_alpha 90.00
_cell_angle_beta 90.00
_cell_angle_gamma 90.00
loop_
_symmetry_equiv_pos_as_xyz
'x,y,z'
'-x,-y,-z'
'-x,-y,z'
'x,y,-z'
'x,-y,-z'
'-x,y,z'
'-x,y,-z'
'x,-y,z'
loop_
_atom_site_label
_atom_site_type_symbol
_atom_site_fract_x
_atom_site_fract_y
_atom_site_fract_z
_atom_site_occupancy
Er1 Er 0.000 0.000 0.000 1
Er2 Er 0.500 0.000 0.253 1
Th1 Th 0.000 0.000 0.500 1
Th2 Th 0.000 0.500 0.250 1
Th3 Th 0.500 0.500 0.000 1
Th4 Th 0.500 0.500 0.500 1
```

---

# 6
Simulated PXRD pattern of Rb2AlCu2Te4 for Cu Ka, from DFT lattice parameters and positions (GGA-PBE).
Intensities are scaled so that the largest is 100.

Principal peaks in the range 2θ from 10° to 80°, by angle:
2θ = 11.68°, rel. 53, (0 1 0)
2θ = 25.70°, rel. 100, (1 0 1)
2θ = 26.39°, rel. 72, (0 2 -2)
2θ = 26.77°, rel. 62, (1 0 -2)
2θ = 27.59°, rel. 38, (1 -2 0)
2θ = 29.15°, rel. 53, (0 2 1)
2θ = 32.85°, rel. 32, (1 2 -1)
2θ = 41.10°, rel. 35, (1 -2 3)
2θ = 41.31°, rel. 37, (2 0 -1)
2θ = 46.25°, rel. 34, (1 2 -4)

Crystal structure
```
data_Rb2AlCu2Te4
_symmetry_space_group_name_H-M 'P -1'
_symmetry_Int_Tables_number 2
_cell_length_a 4.443
_cell_length_b 8.151
_cell_length_c 8.685
_cell_angle_alpha 107.07
_cell_angle_beta 99.16
_cell_angle_gamma 100.05
loop_
_symmetry_equiv_pos_as_xyz
'x,y,z'
'-x,-y,-z'
loop_
_atom_site_label
_atom_site_type_symbol
_atom_site_fract_x
_atom_site_fract_y
_atom_site_fract_z
_atom_site_occupancy
Rb1 Rb 0.161 0.134 0.306 1
Al1 Al 0.000 0.500 0.000 1
Cu1 Cu 0.434 0.459 0.831 1
Te1 Te 0.138 0.599 0.352 1
Te2 Te 0.462 0.788 0.034 1
```

---

# 7
Simulated PXRD pattern of Cu2BPS4 for Cu Ka, from DFT lattice parameters and positions (GGA-PBE).
Intensities are scaled so that the largest is 100.

Principal peaks in the range 2θ from 10° to 80°, by angle:
2θ = 28.66°, rel. 100, (1 1 0)
2θ = 29.32°, rel. 65, (1 -1 1)
2θ = 32.24°, rel. 84, (1 1 2)
2θ = 32.38°, rel. 78, (-1 1 1)
2θ = 44.80°, rel. 39, (0 2 -1)
2θ = 50.99°, rel. 28, (2 2 2)
2θ = 52.01°, rel. 26, (2 -2 0)
2θ = 52.38°, rel. 27, (2 0 -1)
2θ = 53.00°, rel. 22, (2 0 3)
2θ = 53.73°, rel. 30, (0 2 3)

Crystal structure
```
data_Cu2BPS4
_symmetry_space_group_name_H-M 'P 1'
_symmetry_Int_Tables_number 1
_cell_length_a 4.749
_cell_length_b 5.423
_cell_length_c 5.909
_cell_angle_alpha 71.40
_cell_angle_beta 66.49
_cell_angle_gamma 88.82
loop_
_symmetry_equiv_pos_as_xyz
'x,y,z'
loop_
_atom_site_label
_atom_site_type_symbol
_atom_site_fract_x
_atom_site_fract_y
_atom_site_fract_z
_atom_site_occupancy
Cu1 Cu 0.000 0.000 0.000 1
Cu2 Cu 0.210 0.722 0.532 1
B1 B 0.473 0.476 0.026 1
P1 P 0.691 0.259 0.493 1
S1 S 0.148 0.164 0.260 1
S2 S 0.387 0.775 0.817 1
S3 S 0.627 0.623 0.225 1
S4 S 0.830 0.362 0.776 1
```

---

# 8
Simulated PXRD pattern of La3Sm13 for Cu Ka, from DFT lattice parameters and positions (GGA-PBE).
Intensities are scaled so that the largest is 100.

Principal peaks in the range 2θ from 10° to 80°, by angle:
2θ = 27.91°, rel. 24, (0 0 4)
2θ = 30.33°, rel. 25, (0 4 0)
2θ = 31.85°, rel. 100, (2 2 2)
2θ = 41.69°, rel. 16, (0 4 4)
2θ = 49.39°, rel. 20, (4 0 0)
2θ = 54.85°, rel. 21, (2 6 2)
2θ = 59.06°, rel. 23, (4 4 0)
2θ = 59.97°, rel. 16, (0 2 8)
2θ = 66.56°, rel. 4, (4 4 4)
2θ = 76.90°, rel. 8, (0 6 8)

Crystal structure
```
data_La3Sm13
_symmetry_space_group_name_H-M 'A m m 2'
_symmetry_Int_Tables_number 38
_cell_length_a 7.382
_cell_length_b 11.788
_cell_length_c 12.785
_cell_angle_alpha 90.00
_cell_angle_beta 90.00
_cell_angle_gamma 90.00
loop_
_symmetry_equiv_pos_as_xyz
'x,y,z'
'-x,-y,z'
'-x,y,z'
'x,-y,z'
'x,y+1/2,z+1/2'
'-x,-y+1/2,z+1/2'
'-x,y+1/2,z+1/2'
'x,-y+1/2,z+1/2'
loop_
_atom_site_label
_atom_site_type_symbol
_atom_site_fract_x
_atom_site_fract_y
_atom_site_fract_z
_atom_site_occupancy
La1 La 0.000 0.000 0.000 1
La2 La 0.251 0.000 0.748 1
Sm1 Sm 0.000 0.000 0.497 1
Sm2 Sm 0.000 0.249 0.166 1
Sm3 Sm 0.250 0.000 0.250 1
Sm4 Sm 0.251 0.248 0.416 1
Sm5 Sm 0.500 0.000 0.001 1
Sm6 Sm 0.500 0.000 0.498 1
Sm7 Sm 0.500 0.247 0.166 1
```